Structure and calculated X-ray powder pattern of HgPdSe2I (a crystal structure in Alexandria, relaxed with GGA-PBE; Cu Ka).

a b c (Å): 5.157 5.157 6.315
angles (deg): 90.00 90.00 90.00
Space group P4/mmm (No. 123)
Asymmetric unit:
Hg  0.000  0.000  0.000 x1
Pd  0.500  0.500  0.500 x1
Se  0.000  0.500  0.000 x2
I  0.000  0.000  0.500 x1

The 10 most intense peaks (2θ = 5–70°), in order of rising 2θ:
2θ = 17.19°, d 5.157, rel. 59, (1 0 0); 2θ = 22.26°, d 3.994, rel. 47, (1 0 1); 2θ = 24.41°, d 3.647, rel. 42, (1 1 0); 2θ = 28.26°, d 3.158, rel. 100, (0 0 2); 2θ = 33.27°, d 2.693, rel. 24, (1 0 2); 2θ = 34.79°, d 2.579, rel. 81, (2 0 0); 2θ = 37.68°, d 2.387, rel. 34, (1 1 2); 2θ = 45.41°, d 1.997, rel. 76, (2 0 2); 2θ = 50.03°, d 1.823, rel. 34, (2 2 0); 2θ = 58.45°, d 1.579, rel. 52, (2 2 2)